Diffraction record for ThSb2Rh7. The PXRD pattern is theoretical, not measured: it uses a cell relaxed with GGA-PBE and Cu Kα (weighted mean of Kα1 and Kα2).
Intensities are scaled so that the largest is 100.

Crystal structure
```
data_ThSb2Rh7
_chemical_formula_sum 'Th1 Sb2 Rh7'
_cell_length_a 10.6620
_cell_length_b 10.6620
_cell_length_c 10.6620
_cell_angle_alpha 157.22
_cell_angle_beta 157.22
_cell_angle_gamma 32.43
_symmetry_space_group_name_H-M 'P 1'
_symmetry_Int_Tables_number 1
loop_
_symmetry_equiv_pos_as_xyz
'x,y,z'
loop_
_atom_site_label
_atom_site_fract_x
_atom_site_fract_y
_atom_site_fract_z
Th1 0.0000 0.0000 0.0000
Sb1 0.3250 0.3250 0.0000
Sb2 0.6750 0.6750 0.0000
Rh1 0.0989 0.5989 0.5000
Rh2 0.2500 0.7500 0.5000
Rh3 0.4011 0.9011 0.5000
Rh4 0.5000 0.5000 0.0000
Rh5 0.5989 0.0989 0.5000
Rh6 0.7500 0.2500 0.5000
Rh7 0.9011 0.4011 0.5000
```

Principal peaks in the range 2θ from 5° to 70°, low angle first:
| d/Å | 2θ (°) | I_rel |
| --- | --- | --- |
| 10.238 | 8.64 | 8.3 |
| 3.584 | 24.84 | 35.4 |
| 2.859 | 31.29 | 10.7 |
| 2.574 | 34.86 | 16.8 |
| 2.244 | 40.19 | 100.0 |
| 2.105 | 42.96 | 47.6 |
| 1.815 | 50.26 | 10.7 |
| 1.489 | 62.37 | 15.5 |